Diffraction record for Zr2InNi2. The X-ray diffraction stick pattern is simulated, not measured: it uses the PBE geometry in OQMD and Cu Kα (weighted mean of Kα1 and Kα2).
Peak positions follow from Bragg's law for the DFT cell and can differ from measured ones.

Most intense lines, 10° ≤ 2θ ≤ 90°, most intense first:
2θ (°)  d_spacing  I_rel
38.9  2.317  100
39.5  2.279  68
36.7  2.447  51
69.9  1.346  23
35.2  2.548  18
32.1  2.790  16
55.1  1.667  15
72.7  1.301  15
61.2  1.514  14
76.7  1.242  12

Structural model:
```
data_Zr2InNi2
_chemical_formula_sum 'Zr8 In4 Ni8'
_space_group_name_H-M_alt 'P 42/m n m'
_space_group_IT_number 136
_space_group_name_Hall '-P 4n 2n'
_cell_length_a 7.2066
_cell_length_b 7.2066
_cell_length_c 6.6688
_cell_angle_alpha 90.00
_cell_angle_beta 90.00
_cell_angle_gamma 90.00
loop_
_atom_site_label
_atom_site_type_symbol
_atom_site_fract_x
_atom_site_fract_y
_atom_site_fract_z
Zr1 Zr 0.1619 0.1619 0.0000
Zr2 Zr 0.1748 0.1748 0.5000
In1 In 0.0000 0.5000 0.2500
Ni1 Ni 0.1252 0.8748 0.2665
```